(1)
Starting from a crystal structure in Alexandria, relaxed with PBE, the X-ray powder pattern of PuMgGa2O8 was simulated for λ = 1.5418 Å (Cu Kα).

Principal peaks in the range 2θ from 15° to 90°, sorted by position:
| 2theta | I_rel |
| --- | --- |
| 18.8 | 100 |
| 26.7 | 84 |
| 32.9 | 90 |
| 38.2 | 31 |
| 42.9 | 21 |
| 51.3 | 70 |
| 55.0 | 13 |
| 62.2 | 15 |
| 62.4 | 13 |
| 65.7 | 19 |

Structure:
Cell: 5.7746 5.7746 5.7746 Å, 109.39 109.39 109.63°
Fractional positions:
Pu 0.0000 0.0000 0.0000
Mg 0.2500 0.7500 0.5000
Ga 0.5000 0.5000 0.0000
Ga 0.7500 0.2500 0.5000
O 0.2972 0.1061 0.8089
O 0.2972 0.4884 0.1911
O 0.3600 0.0609 0.2991
O 0.5116 0.7028 0.8089
O 0.7618 0.0609 0.7009
O 0.8939 0.7028 0.1911
O 0.9391 0.2382 0.2991
O 0.9391 0.6400 0.7009


(2)
Starting from a crystal structure in Alexandria, relaxed with PBE, the X-ray powder pattern of KNb4O5F was simulated for λ = 1.5418 Å (Cu Kα).

Principal peaks in the range 2θ from 15° to 90°, sorted by position:
| 2theta | I_rel |
| --- | --- |
| 21.1 | 54 |
| 29.8 | 100 |
| 31.8 | 79 |
| 36.8 | 61 |
| 42.4 | 47 |
| 43.0 | 94 |
| 44.0 | 51 |
| 53.2 | 37 |
| 62.0 | 56 |
| 62.4 | 28 |

Structure:
Cell: 4.2091 4.2091 8.5284 Å, 90.00 90.00 90.00°
Fractional positions:
K 0.0000 0.0000 0.0000
Nb 0.0000 0.5000 0.5000
Nb 0.5000 0.0000 0.5000
Nb 0.5000 0.5000 0.2633
Nb 0.5000 0.5000 0.7367
O 0.0000 0.0000 0.5000
O 0.0000 0.5000 0.2512
O 0.0000 0.5000 0.7488
O 0.5000 0.0000 0.2512
O 0.5000 0.0000 0.7488
F 0.5000 0.5000 0.0000